Computed XRD peak list
Compound: BaSrPrCoO6
Radiation: Cu Kα (λ = 1.5418 Å)
Structure: a DFT-relaxed cell (GGA+U, Alexandria)
Peak positions follow from Bragg's law for the DFT cell and can differ from measured ones.

Atomic structure:
Cell: 5.8821 5.8954 8.4351 Å, 90.06 90.38 91.43°
Space group P-1 (No. 2)
One atom of each set of equivalent atoms:
Ba: 0.0102 0.0065 0.2494 (multiplicity 2)
Sr: 0.4835 0.4925 0.7486 (multiplicity 2)
Pr: 0.0000 0.5000 0.0000 (multiplicity 1)
Pr: 0.5000 0.0000 0.5000 (multiplicity 1)
Co: 0.0000 0.5000 0.5000 (multiplicity 1)
Co: 0.5000 0.0000 0.0000 (multiplicity 1)
O: 0.0291 0.4736 0.7274 (multiplicity 2)
O: 0.1917 0.7425 0.5060 (multiplicity 2)
O: 0.2586 0.8073 0.9904 (multiplicity 2)
O: 0.2599 0.3044 0.4742 (multiplicity 2)
O: 0.3011 0.2563 0.0273 (multiplicity 2)
O: 0.4863 0.0430 0.7725 (multiplicity 2)

Principal peaks in the range 10° ≤ 2θ ≤ 80°, low angle first:
2θ (°)	d_spacing	Rel. int.	hkl
29.91	2.987	53	-1 1 2
30.03	2.976	52	1 -1 2
30.30	2.949	100	0 2 0
30.42	2.938	99	2 0 0
42.90	2.108	63	0 0 4
53.42	1.715	42	0 2 -4